No. 1
# CaCuF4
Simulated X-ray diffraction stick pattern, CuKα. Input: the GGA-PBE geometry in the Materials Project.
Neutral-atom scattering factors, no anomalous dispersion.

Atomic structure:
a b c (Å): 6.4916 6.4916 6.4916
angles (deg): 130.03 130.03 73.35
Fractional coordinates of all 12 atoms:
Ca 0.2500 0.2500 0.0000
Ca 0.7500 0.7500 0.0000
Cu 0.0000 0.5000 0.5000
Cu 0.5000 0.0000 0.5000
F 0.0493 0.5493 0.8556
F 0.1937 0.0493 0.5000
F 0.3063 0.8063 0.8556
F 0.4507 0.3063 0.5000
F 0.5493 0.6937 0.5000
F 0.6937 0.1937 0.1444
F 0.8063 0.9507 0.5000
F 0.9507 0.4507 0.1444

Most intense lines, 10° ≤ 2θ ≤ 90°, by intensity:
d 3.110, rel. 100.0; d 1.888, rel. 44.5; d 1.645, rel. 28.4; d 1.939, rel. 19.3; d 1.226, rel. 14.5; d 1.584, rel. 12.5; d 3.877, rel. 12.4; d 2.387, rel. 11.2; d 2.742, rel. 11.1; d 2.003, rel. 7.1

=====

No. 2
# Li2SnB2O6
Simulated X-ray diffraction stick pattern, CuKα. Input: the GGA-PBE geometry in the Materials Project.
Neutral-atom scattering factors, no anomalous dispersion.

Atomic structure:
a b c (Å): 5.1330 6.7242 8.2176
angles (deg): 71.56 89.83 89.41
Fractional coordinates of all 22 atoms:
Li 0.1309 0.2851 0.0969
Li 0.3179 0.4253 0.3981
Li 0.6821 0.5747 0.6019
Li 0.8691 0.7149 0.9031
Sn 0.3790 0.0763 0.7514
Sn 0.6210 0.9237 0.2486
B 0.1715 0.8437 0.3865
B 0.3561 0.6864 0.0504
B 0.6439 0.3136 0.9496
B 0.8285 0.1563 0.6135
O 0.0888 0.2049 0.5819
O 0.2280 0.8020 0.8958
O 0.2447 0.5178 0.1580
O 0.2555 0.0375 0.2784
O 0.3756 0.7028 0.4472
O 0.3978 0.2326 0.9207
O 0.6022 0.7674 0.0793
O 0.6244 0.2972 0.5528
O 0.7445 0.9625 0.7216
O 0.7553 0.4822 0.8420
O 0.7720 0.1980 0.1042
O 0.9112 0.7951 0.4181

Most intense lines, 10° ≤ 2θ ≤ 90°, by intensity:
d 6.379, rel. 100.0; d 3.924, rel. 59.2; d 3.868, rel. 49.8; d 5.133, rel. 48.4; d 2.972, rel. 30.3; d 3.126, rel. 26.7; d 3.898, rel. 25.2; d 5.943, rel. 25.0; d 4.018, rel. 22.5; d 3.291, rel. 22.1

=====

No. 3
# CsUGaP2O10
Simulated X-ray diffraction stick pattern, CuKα. Input: the GGA-PBE geometry in the Materials Project.
Neutral-atom scattering factors, no anomalous dispersion.

Atomic structure:
a b c (Å): 7.9423 8.6454 9.0960
angles (deg): 66.21 70.08 83.58
Fractional coordinates of all 30 atoms:
Cs 0.1672 0.1959 0.4842
Cs 0.8328 0.8041 0.5158
U 0.2850 0.5785 0.6661
U 0.7150 0.4215 0.3339
Ga 0.2546 0.9219 0.0121
Ga 0.7454 0.0781 0.9879
P 0.0270 0.2361 0.0563
P 0.4573 0.8252 0.2839
P 0.5427 0.1748 0.7161
P 0.9730 0.7639 0.9437
O 0.0562 0.7275 0.7817
O 0.0977 0.0517 0.1158
O 0.1175 0.7557 0.0275
O 0.1326 0.5079 0.5937
O 0.1799 0.3635 0.9268
O 0.2998 0.8543 0.4240
O 0.3875 0.0410 0.7875
O 0.4084 0.8231 0.1337
O 0.4451 0.6540 0.7266
O 0.4757 0.3521 0.6239
O 0.5243 0.6479 0.3761
O 0.5549 0.3460 0.2734
O 0.5916 0.1769 0.8663
O 0.6125 0.9590 0.2125
O 0.7002 0.1457 0.5760
O 0.8201 0.6365 0.0732
O 0.8674 0.4921 0.4063
O 0.8825 0.2443 0.9725
O 0.9023 0.9483 0.8842
O 0.9438 0.2725 0.2183

Most intense lines, 10° ≤ 2θ ≤ 90°, by intensity:
d 3.430, rel. 100.0; d 4.255, rel. 95.7; d 6.590, rel. 84.8; d 3.492, rel. 84.7; d 6.034, rel. 77.4; d 4.722, rel. 68.4; d 7.879, rel. 55.9; d 4.447, rel. 55.1; d 3.089, rel. 52.3; d 3.736, rel. 45.1

=====

No. 4
# MgTe4MoW3Se2S2
Simulated X-ray diffraction stick pattern, CuKα. Input: the GGA-PBE geometry in the Materials Project.
Neutral-atom scattering factors, no anomalous dispersion.

Atomic structure:
a b c (Å): 3.3878 3.3878 46.5510
angles (deg): 90.00 90.00 120.00
Fractional coordinates of all 13 atoms:
Mg 0.0000 0.0000 0.0000
Te 0.3333 0.6667 0.4257
Te 0.3333 0.6667 0.5068
Te 0.6667 0.3333 0.8560
Te 0.6667 0.3333 0.9370
Mo 0.3333 0.6667 0.8963
W 0.3333 0.6667 0.2785
W 0.6667 0.3333 0.0996
W 0.6667 0.3333 0.4663
Se 0.6667 0.3333 0.2429
Se 0.6667 0.3333 0.3142
S 0.3333 0.6667 0.0671
S 0.3333 0.6667 0.1319

Most intense lines, 10° ≤ 2θ ≤ 90°, by intensity:
d 2.269, rel. 100.0; d 2.620, rel. 81.4; d 7.759, rel. 76.6; d 2.932, rel. 60.8; d 1.694, rel. 41.4; d 2.798, rel. 32.2; d 2.200, rel. 29.8; d 2.411, rel. 27.1; d 1.666, rel. 26.8; d 1.357, rel. 19.2

=====

No. 5
# YAlPd2
Simulated X-ray diffraction stick pattern, CuKα. Input: the GGA-PBE geometry in the Materials Project.
Neutral-atom scattering factors, no anomalous dispersion.

Atomic structure:
a b c (Å): 4.3741 4.3741 9.1905
angles (deg): 90.00 90.00 120.00
Fractional coordinates of all 8 atoms:
Y 0.3333 0.6667 0.2500
Y 0.6667 0.3333 0.7500
Al 0.0000 0.0000 0.0000
Al 0.0000 0.0000 0.5000
Pd 0.3333 0.6667 0.5781
Pd 0.3333 0.6667 0.9219
Pd 0.6667 0.3333 0.0781
Pd 0.6667 0.3333 0.4219

Most intense lines, 10° ≤ 2θ ≤ 90°, by intensity:
d 2.382, rel. 100.0; d 2.187, rel. 61.6; d 3.788, rel. 39.8; d 1.611, rel. 29.2; d 1.297, rel. 27.7; d 1.255, rel. 13.4; d 1.263, rel. 10.1; d 1.420, rel. 8.6; d 1.094, rel. 6.6; d 1.894, rel. 5.7

=====

No. 6
# AlMo4S8
Simulated X-ray diffraction stick pattern, CuKα. Input: the GGA-PBE geometry in the Materials Project.
Neutral-atom scattering factors, no anomalous dispersion.

Atomic structure:
a b c (Å): 6.9385 6.9385 6.9385
angles (deg): 60.00 60.00 60.00
Fractional coordinates of all 13 atoms:
Al 0.0000 0.0000 0.0000
Mo 0.1929 0.6024 0.6024
Mo 0.6024 0.1929 0.6024
Mo 0.6024 0.6024 0.1929
Mo 0.6024 0.6024 0.6024
S 0.3665 0.3665 0.3665
S 0.3665 0.3665 0.9004
S 0.3665 0.9004 0.3665
S 0.4036 0.8655 0.8655
S 0.8655 0.4036 0.8655
S 0.8655 0.8655 0.4036
S 0.8655 0.8655 0.8655
S 0.9004 0.3665 0.3665

Most intense lines, 10° ≤ 2θ ≤ 90°, by intensity:
d 5.665, rel. 100.0; d 2.453, rel. 74.0; d 2.959, rel. 49.3; d 1.888, rel. 47.6; d 1.735, rel. 47.1; d 2.003, rel. 32.1; d 2.251, rel. 30.8; d 1.156, rel. 19.7; d 4.906, rel. 16.2; d 1.374, rel. 15.6

=====

No. 7
# EuMgCd2
Simulated X-ray diffraction stick pattern, CuKα. Input: the GGA-PBE geometry in the Materials Project.
Neutral-atom scattering factors, no anomalous dispersion.

Atomic structure:
a b c (Å): 5.2624 5.2624 5.2624
angles (deg): 60.00 60.00 60.00
Fractional coordinates of all 4 atoms:
Eu 0.0000 0.0000 0.0000
Mg 0.5000 0.5000 0.5000
Cd 0.2500 0.2500 0.2500
Cd 0.7500 0.7500 0.7500

Most intense lines, 10° ≤ 2θ ≤ 90°, by intensity:
d 2.631, rel. 100.0; d 1.519, rel. 35.6; d 4.297, rel. 21.8; d 1.861, rel. 17.6; d 1.177, rel. 15.3; d 2.244, rel. 12.3; d 1.316, rel. 10.9; d 1.707, rel. 5.3; d 1.432, rel. 4.0; d 1.258, rel. 4.0